Ca3CrF6: calculated powder XRD pattern (a wavelength of 1.5418 Å), based on a DFT-relaxed cell (PBE+U, Alexandria).
Neutral-atom scattering factors, no anomalous dispersion.

Most intense lines, 2θ = 5–70°, in order of falling intensity:
- 27.56 deg, I = 1000
- 33.42 deg, I = 460
- 36.73 deg, I = 299
- 43.85 deg, I = 236
- 33.56 deg, I = 231
- 38.91 deg, I = 212
- 27.01 deg, I = 202
- 55.65 deg, I = 174

a = 3.4540 Å, b = 7.5558 Å, c = 7.5606 Å
α = 117.61°, β = 98.96°, γ = 98.50°
Space group P-1 (No. 2)
Asymmetric unit:
Ca  0.0000  0.0000  0.0000 [1 per cell]
Ca  0.0000  0.5000  0.5000 [1 per cell]
Ca  0.5000  0.0000  0.5000 [1 per cell]
Cr  0.0000  0.5000  0.0000 [1 per cell]
F  0.0774  0.2237  0.5559 [2 per cell]
F  0.3554  0.3312  0.2768 [2 per cell]
F  0.4751  0.0560  0.8319 [2 per cell]